No. 1
Simulated powder diffractogram of Mg4Tl3 for Cu Kα (weighted mean of Kα1 and Kα2), from DFT lattice parameters and positions (PBE).

Structure:
a = 7.7347 Å, b = 7.7347 Å, c = 7.7347 Å
α = 109.47°, β = 109.47°, γ = 109.47°
Atoms (fractional coordinates):
Mg 0.0000 0.1633 0.5000
Mg 0.0000 0.6633 0.5000
Mg 0.1633 0.5000 0.0000
Mg 0.3367 0.3367 0.3367
Mg 0.5000 0.0000 0.1633
Mg 0.5000 0.0000 0.6633
Mg 0.6633 0.5000 0.0000
Mg 0.8367 0.8367 0.8367
Tl 0.1250 0.8750 0.2500
Tl 0.2500 0.1250 0.8750
Tl 0.3750 0.6250 0.7500
Tl 0.6250 0.7500 0.3750
Tl 0.7500 0.3750 0.6250
Tl 0.8750 0.2500 0.1250

Most intense lines, 10° ≤ 2θ ≤ 90°, sorted by position:
| 2θ/deg | I (rel.) |
| --- | --- |
| 24.41 | 100 |
| 28.26 | 11 |
| 31.68 | 61 |
| 37.69 | 40 |
| 45.41 | 34 |
| 47.77 | 22 |
| 52.22 | 28 |
| 64.29 | 29 |
| 68.03 | 12 |
| 78.74 | 21 |

No. 2
Simulated powder diffractogram of Ac7Ir3Os for Cu Kα (weighted mean of Kα1 and Kα2), from DFT lattice parameters and positions (PBE).

Structure:
a = 7.3949 Å, b = 7.3949 Å, c = 7.3023 Å
α = 104.25°, β = 104.25°, γ = 99.17°
Atoms (fractional coordinates):
Ac 0.0000 0.0000 0.0000
Ac 0.1256 0.5559 0.2738
Ac 0.3302 0.3302 0.7519
Ac 0.4441 0.8744 0.7262
Ac 0.5559 0.1256 0.2738
Ac 0.6698 0.6698 0.2481
Ac 0.8744 0.4441 0.7262
Ir 0.2744 0.7256 0.0000
Ir 0.5000 0.5000 0.5000
Ir 0.7256 0.2744 0.0000
Os 0.0000 0.0000 0.5000

Most intense lines, 10° ≤ 2θ ≤ 90°, sorted by position:
| 2θ/deg | I (rel.) |
| --- | --- |
| 26.41 | 100 |
| 30.75 | 57 |
| 31.79 | 68 |
| 32.23 | 99 |
| 39.21 | 43 |
| 40.71 | 38 |
| 40.97 | 49 |
| 41.78 | 42 |
| 44.66 | 26 |
| 51.33 | 32 |

No. 3
Simulated powder diffractogram of Al2InCuTe4 for Cu Kα (weighted mean of Kα1 and Kα2), from DFT lattice parameters and positions (PBE).

Structure:
a = 7.9293 Å, b = 7.7029 Å, c = 6.4233 Å
α = 67.59°, β = 63.91°, γ = 48.50°
Atoms (fractional coordinates):
Al 0.0000 0.0000 0.5000
Al 0.5000 0.5000 0.0000
In 0.2723 0.2723 0.7277
Cu 0.7344 0.7344 0.2656
Te 0.0793 0.6758 0.3242
Te 0.3754 0.8431 0.6246
Te 0.6758 0.0793 0.9207
Te 0.8431 0.3754 0.1569

Most intense lines, 10° ≤ 2θ ≤ 90°, sorted by position:
| 2θ/deg | I (rel.) |
| --- | --- |
| 23.43 | 77 |
| 24.82 | 100 |
| 30.96 | 21 |
| 38.03 | 21 |
| 39.96 | 71 |
| 41.59 | 19 |
| 45.95 | 24 |
| 46.95 | 16 |
| 48.28 | 20 |
| 64.51 | 17 |

No. 4
Simulated powder diffractogram of RbLi4Pu3Cl12 for Cu Kα (weighted mean of Kα1 and Kα2), from DFT lattice parameters and positions (PBE).

Structure:
a = 9.1262 Å, b = 9.1262 Å, c = 9.1262 Å
α = 107.05°, β = 107.05°, γ = 107.05°
Atoms (fractional coordinates):
Rb 0.0000 0.0000 0.0000
Li 0.0649 0.5000 0.9351
Li 0.5000 0.5000 0.5000
Li 0.5000 0.9351 0.0649
Li 0.9351 0.0649 0.5000
Pu 0.0000 0.5594 0.4406
Pu 0.4406 0.0000 0.5594
Pu 0.5594 0.4406 0.0000
Cl 0.0351 0.6479 0.7710
Cl 0.0952 0.9048 0.5000
Cl 0.2290 0.3521 0.9649
Cl 0.3432 0.6568 0.5000
Cl 0.3521 0.9649 0.2290
Cl 0.5000 0.0952 0.9048
Cl 0.5000 0.3432 0.6568
Cl 0.6479 0.7710 0.0351
Cl 0.6568 0.5000 0.3432
Cl 0.7710 0.0351 0.6479
Cl 0.9048 0.5000 0.0952
Cl 0.9649 0.2290 0.3521

Most intense lines, 10° ≤ 2θ ≤ 90°, sorted by position:
| 2θ/deg | I (rel.) |
| --- | --- |
| 12.06 | 84 |
| 16.45 | 100 |
| 20.45 | 41 |
| 22.40 | 69 |
| 30.87 | 81 |
| 36.08 | 23 |
| 36.74 | 24 |
| 40.50 | 23 |
| 43.92 | 29 |
| 53.59 | 20 |

No. 5
Simulated powder diffractogram of Tm6SbTe2Pb3 for Cu Kα (weighted mean of Kα1 and Kα2), from DFT lattice parameters and positions (PBE).

Structure:
a = 7.4839 Å, b = 7.4839 Å, c = 7.6956 Å
α = 99.31°, β = 99.31°, γ = 119.94°
Atoms (fractional coordinates):
Tm 0.0838 0.4121 0.7519
Tm 0.2424 0.2424 0.2441
Tm 0.4121 0.0838 0.7519
Tm 0.5879 0.9162 0.2481
Tm 0.7576 0.7576 0.7559
Tm 0.9162 0.5879 0.2481
Sb 0.0000 0.0000 0.5000
Te 0.3342 0.6658 0.5000
Te 0.6658 0.3342 0.5000
Pb 0.1699 0.8301 0.0000
Pb 0.5000 0.5000 0.0000
Pb 0.8301 0.1699 0.0000

Most intense lines, 10° ≤ 2θ ≤ 90°, sorted by position:
| 2θ/deg | I (rel.) |
| --- | --- |
| 28.92 | 100 |
| 40.91 | 40 |
| 41.80 | 37 |
| 50.11 | 7 |
| 51.65 | 13 |
| 59.92 | 13 |
| 67.24 | 18 |
| 68.51 | 17 |
| 73.89 | 7 |
| 75.70 | 9 |

No. 6
Simulated powder diffractogram of NpCoAs3 for Cu Kα (weighted mean of Kα1 and Kα2), from DFT lattice parameters and positions (PBE).

Structure:
a = 11.7443 Å, b = 5.5989 Å, c = 5.4607 Å
α = 90.00°, β = 90.00°, γ = 90.00°
Atoms (fractional coordinates):
Np 0.1946 0.0087 0.2500
Np 0.1946 0.4913 0.7500
Np 0.8054 0.5087 0.2500
Np 0.8054 0.9913 0.7500
Co 0.4128 0.7500 0.0000
Co 0.4128 0.7500 0.5000
Co 0.5872 0.2500 0.0000
Co 0.5872 0.2500 0.5000
As 0.0028 0.7500 0.0000
As 0.0028 0.7500 0.5000
As 0.2759 0.5092 0.2500
As 0.2759 0.9908 0.7500
As 0.4381 0.1025 0.2500
As 0.4381 0.3975 0.7500
As 0.5619 0.6025 0.2500
As 0.5619 0.8975 0.7500
As 0.7241 0.0092 0.2500
As 0.7241 0.4908 0.7500
As 0.9972 0.2500 0.0000
As 0.9972 0.2500 0.5000

Most intense lines, 10° ≤ 2θ ≤ 90°, sorted by position:
| 2θ/deg | I (rel.) |
| --- | --- |
| 23.99 | 62 |
| 27.41 | 28 |
| 35.53 | 50 |
| 36.29 | 37 |
| 38.34 | 100 |
| 39.58 | 21 |
| 40.27 | 24 |
| 46.46 | 45 |
| 61.74 | 17 |
| 62.26 | 20 |

No. 7
Simulated powder diffractogram of K2Hg6Sb for Cu Kα (weighted mean of Kα1 and Kα2), from DFT lattice parameters and positions (PBE).

Structure:
a = 6.9346 Å, b = 6.9346 Å, c = 6.5465 Å
α = 90.00°, β = 90.00°, γ = 120.00°
Atoms (fractional coordinates):
K 0.3333 0.6667 0.1623
K 0.6667 0.3333 0.8377
Hg 0.1818 0.3635 0.6629
Hg 0.1818 0.8182 0.6629
Hg 0.3635 0.1818 0.3371
Hg 0.6365 0.8182 0.6629
Hg 0.8182 0.1818 0.3371
Hg 0.8182 0.6365 0.3371
Sb 0.0000 0.0000 0.0000

Most intense lines, 10° ≤ 2θ ≤ 90°, sorted by position:
| 2θ/deg | I (rel.) |
| --- | --- |
| 13.53 | 27 |
| 20.06 | 31 |
| 29.14 | 17 |
| 29.75 | 16 |
| 31.12 | 24 |
| 32.81 | 100 |
| 39.71 | 17 |
| 40.78 | 48 |
| 52.81 | 21 |
| 69.21 | 15 |

No. 8
Simulated powder diffractogram of Pm5HIr2 for Cu Kα (weighted mean of Kα1 and Kα2), from DFT lattice parameters and positions (PBE).

Structure:
a = 6.5081 Å, b = 6.5081 Å, c = 13.3068 Å
α = 90.00°, β = 90.00°, γ = 128.50°
Atoms (fractional coordinates):
Pm 0.0598 0.9402 0.6193
Pm 0.0598 0.9402 0.8807
Pm 0.2800 0.7200 0.2500
Pm 0.3609 0.6391 0.5854
Pm 0.3609 0.6391 0.9146
Pm 0.6391 0.3609 0.0854
Pm 0.6391 0.3609 0.4146
Pm 0.7200 0.2800 0.7500
Pm 0.9402 0.0598 0.1193
Pm 0.9402 0.0598 0.3807
H 0.2189 0.7811 0.7500
H 0.7811 0.2189 0.2500
Ir 0.1758 0.8242 0.0617
Ir 0.1758 0.8242 0.4383
Ir 0.8242 0.1758 0.5617
Ir 0.8242 0.1758 0.9383

Most intense lines, 10° ≤ 2θ ≤ 90°, sorted by position:
| 2θ/deg | I (rel.) |
| --- | --- |
| 13.31 | 49 |
| 17.41 | 35 |
| 25.18 | 62 |
| 28.56 | 68 |
| 30.90 | 34 |
| 31.65 | 100 |
| 36.75 | 63 |
| 38.15 | 34 |
| 40.86 | 35 |
| 49.27 | 55 |

No. 9
Simulated powder diffractogram of BaMgSbF7 for Cu Kα (weighted mean of Kα1 and Kα2), from DFT lattice parameters and positions (PBE).

Structure:
a = 5.8308 Å, b = 10.7606 Å, c = 9.9866 Å
α = 90.00°, β = 95.61°, γ = 90.00°
Atoms (fractional coordinates):
Ba 0.2391 0.1531 0.0376
Ba 0.2391 0.3469 0.5376
Ba 0.7609 0.6531 0.4624
Ba 0.7609 0.8469 0.9624
Mg 0.2047 0.6463 0.7981
Mg 0.2047 0.8537 0.2981
Mg 0.7953 0.1463 0.7019
Mg 0.7953 0.3537 0.2019
Sb 0.2960 0.5803 0.1475
Sb 0.2960 0.9197 0.6475
Sb 0.7040 0.0803 0.3525
Sb 0.7040 0.4197 0.8525
F 0.0354 0.6937 0.2364
F 0.0354 0.8063 0.7364
F 0.0751 0.1214 0.6069
F 0.0751 0.3786 0.1069
F 0.1112 0.5693 0.6248
F 0.1112 0.9307 0.1248
F 0.3594 0.0166 0.3587
F 0.3594 0.4834 0.8587
F 0.3623 0.7106 0.9728
F 0.3623 0.7894 0.4728
F 0.3758 0.5194 0.3459
F 0.3758 0.9806 0.8459
F 0.4700 0.7391 0.2291
F 0.4700 0.7609 0.7291
F 0.5300 0.2391 0.2709
F 0.5300 0.2609 0.7709
F 0.6242 0.0194 0.1541
F 0.6242 0.4806 0.6541
F 0.6377 0.2106 0.5272
F 0.6377 0.2894 0.0272
F 0.6406 0.5166 0.1413
F 0.6406 0.9834 0.6413
F 0.8888 0.0693 0.8752
F 0.8888 0.4307 0.3752
F 0.9249 0.6214 0.8931
F 0.9249 0.8786 0.3931
F 0.9646 0.1937 0.2636
F 0.9646 0.3063 0.7636

Most intense lines, 10° ≤ 2θ ≤ 90°, sorted by position:
| 2θ/deg | I (rel.) |
| --- | --- |
| 18.76 | 28 |
| 22.39 | 30 |
| 23.70 | 100 |
| 24.83 | 33 |
| 26.07 | 37 |
| 28.18 | 34 |
| 30.79 | 34 |
| 37.12 | 20 |
| 42.79 | 23 |
| 50.11 | 22 |

No. 10
Simulated powder diffractogram of Li3LaCd2 for Cu Kα (weighted mean of Kα1 and Kα2), from DFT lattice parameters and positions (PBE).

Structure:
a = 6.8070 Å, b = 6.8070 Å, c = 5.9673 Å
α = 90.00°, β = 90.00°, γ = 84.01°
Atoms (fractional coordinates):
Li 0.0320 0.9680 0.7500
Li 0.1023 0.5636 0.7500
Li 0.4364 0.8977 0.7500
Li 0.5636 0.1023 0.2500
Li 0.8977 0.4364 0.2500
Li 0.9680 0.0320 0.2500
La 0.3358 0.6642 0.2500
La 0.6642 0.3358 0.7500
Cd 0.2304 0.2304 0.0000
Cd 0.2304 0.2304 0.5000
Cd 0.7696 0.7696 0.0000
Cd 0.7696 0.7696 0.5000

Most intense lines, 10° ≤ 2θ ≤ 90°, sorted by position:
| 2θ/deg | I (rel.) |
| --- | --- |
| 19.49 | 34 |
| 19.83 | 63 |
| 26.33 | 100 |
| 30.36 | 27 |
| 30.74 | 25 |
| 34.91 | 80 |
| 35.49 | 34 |
| 35.98 | 51 |
| 43.60 | 40 |
| 51.44 | 26 |

No. 11
Simulated powder diffractogram of Nd8InBi5 for Cu Kα (weighted mean of Kα1 and Kα2), from DFT lattice parameters and positions (PBE).

Structure:
a = 8.3918 Å, b = 8.3918 Å, c = 8.3918 Å
α = 109.57°, β = 109.57°, γ = 109.27°
Atoms (fractional coordinates):
Nd 0.0155 0.1258 0.7492
Nd 0.2284 0.4797 0.6056
Nd 0.3766 0.2663 0.2508
Nd 0.3771 0.7716 0.2513
Nd 0.5203 0.1259 0.7487
Nd 0.7337 0.9845 0.1103
Nd 0.8741 0.6229 0.3944
Nd 0.8742 0.6234 0.8897
In 0.7500 0.2500 0.5000
Bi 0.0020 0.3768 0.1261
Bi 0.1241 0.9980 0.3748
Bi 0.2507 0.8759 0.8739
Bi 0.5000 0.5000 0.0000
Bi 0.6232 0.7493 0.6252

Most intense lines, 10° ≤ 2θ ≤ 90°, sorted by position:
| 2θ/deg | I (rel.) |
| --- | --- |
| 22.47 | 17 |
| 29.12 | 98 |
| 29.18 | 55 |
| 34.63 | 100 |
| 41.66 | 20 |
| 43.82 | 20 |
| 45.88 | 20 |
| 47.89 | 20 |
| 58.62 | 15 |
| 58.79 | 31 |

No. 12
Simulated powder diffractogram of La2HoPb for Cu Kα (weighted mean of Kα1 and Kα2), from DFT lattice parameters and positions (PBE).

Structure:
a = 7.0388 Å, b = 7.0388 Å, c = 7.0388 Å
α = 121.37°, β = 100.31°, γ = 107.48°
Atoms (fractional coordinates):
La 0.2993 0.0000 0.7993
La 0.2993 0.5000 0.2993
La 0.7007 0.0000 0.2007
La 0.7007 0.5000 0.7007
Ho 0.1843 0.4343 0.7500
Ho 0.8157 0.5657 0.2500
Pb 0.2007 0.9507 0.2500
Pb 0.7993 0.0493 0.7500

Most intense lines, 10° ≤ 2θ ≤ 90°, sorted by position:
| 2θ/deg | I (rel.) |
| --- | --- |
| 29.19 | 79 |
| 29.75 | 27 |
| 31.64 | 31 |
| 32.70 | 82 |
| 33.77 | 100 |
| 39.98 | 14 |
| 52.11 | 37 |
| 53.30 | 16 |
| 61.78 | 23 |
| 87.71 | 15 |